No. 1
Mg5Pb: calculated powder diffractogram (Cu Kα), based on a DFT-relaxed cell (GGA-PBE, the Materials Project).
No peak broadening, texture or thermal motion is included.

Principal peaks in the range 2θ from 10° to 90°, by intensity:
| 2θ (°) | I (rel.) |
| --- | --- |
| 36.2 | 100 |
| 19.0 | 82 |
| 21.4 | 63 |
| 31.8 | 40 |
| 16.8 | 36 |
| 29.1 | 31 |
| 47.2 | 27 |
| 34.0 | 24 |

Cell lengths 5.6344, 5.6344, 15.8162 Å; angles 90.00, 90.00, 120.00 degrees
Space group R32 (No. 155, hexagonal axes)
Unique sites:
Mg: 0.0000 0.0000 0.1671 x6
Mg: 0.0000 0.6677 0.0000 x9
Pb: 0.0000 0.0000 0.5000 x3

=====

No. 2
Mg5Pb: calculated powder diffractogram (Cu Kα), based on a DFT-relaxed cell (GGA-PBE, the Materials Project).
No peak broadening, texture or thermal motion is included.

Principal peaks in the range 2θ from 10° to 90°, by intensity:
| 2θ (°) | I (rel.) |
| --- | --- |
| 36.2 | 100 |
| 24.8 | 93 |
| 18.2 | 88 |
| 31.9 | 40 |
| 16.6 | 37 |
| 38.5 | 29 |
| 47.0 | 27 |
| 33.6 | 25 |

Cell lengths 5.6134, 5.6134, 5.3384 Å; angles 90.00, 90.00, 120.00 degrees
Space group P-62m (No. 189)
Unique sites:
Mg: 0.0000 0.6579 0.0000 x3
Mg: 0.3333 0.6667 0.5000 x2
Pb: 0.0000 0.0000 0.5000 x1

=====

Please write out number 1 again, unchanged.
Mg5Pb: calculated powder diffractogram (Cu Kα), based on a DFT-relaxed cell (GGA-PBE, the Materials Project).
No peak broadening, texture or thermal motion is included.

Principal peaks in the range 2θ from 10° to 90°, by intensity:
| 2θ (°) | I (rel.) |
| --- | --- |
| 36.2 | 100 |
| 19.0 | 82 |
| 21.4 | 63 |
| 31.8 | 40 |
| 16.8 | 36 |
| 29.1 | 31 |
| 47.2 | 27 |
| 34.0 | 24 |

Cell lengths 5.6344, 5.6344, 15.8162 Å; angles 90.00, 90.00, 120.00 degrees
Space group R32 (No. 155, hexagonal axes)
Unique sites:
Mg: 0.0000 0.0000 0.1671 x6
Mg: 0.0000 0.6677 0.0000 x9
Pb: 0.0000 0.0000 0.5000 x3